Diffraction record for Li2Ti3CoO8. The powder diffractogram is computed, not measured: it uses the GGA+U geometry in Alexandria and Cu Kα X-rays.
Intensities are scaled so that the largest is 100.

Atomic structure:
a b c (Å): 8.449 8.449 8.449
angles (deg): 90.00 90.00 90.00
Atoms (fractional coordinates):
Li1 0.003 0.497 0.503
Li2 0.124 0.876 0.376
Li3 0.376 0.124 0.876
Li4 0.497 0.503 0.003
Li5 0.503 0.003 0.497
Li6 0.624 0.624 0.624
Li7 0.876 0.376 0.124
Li8 0.997 0.997 0.997
Ti1 0.121 0.627 0.134
Ti2 0.127 0.366 0.879
Ti3 0.134 0.121 0.627
Ti4 0.366 0.879 0.127
Ti5 0.373 0.634 0.379
Ti6 0.379 0.373 0.634
Ti7 0.621 0.873 0.866
Ti8 0.627 0.134 0.121
Ti9 0.634 0.379 0.373
Ti10 0.866 0.621 0.873
Ti11 0.873 0.866 0.621
Ti12 0.879 0.127 0.366
Co1 0.248 0.748 0.752
Co2 0.252 0.252 0.252
Co3 0.748 0.752 0.248
Co4 0.752 0.248 0.748
O1 0.107 0.128 0.390
O2 0.110 0.893 0.628
O3 0.112 0.612 0.888
O4 0.123 0.145 0.859
O5 0.128 0.390 0.107
O6 0.139 0.361 0.639
O7 0.141 0.623 0.355
O8 0.145 0.859 0.123
O9 0.355 0.141 0.623
O10 0.359 0.377 0.855
O11 0.361 0.639 0.139
O12 0.372 0.610 0.607
O13 0.377 0.855 0.359
O14 0.388 0.388 0.388
O15 0.390 0.107 0.128
O16 0.393 0.872 0.890
O17 0.607 0.372 0.610
O18 0.610 0.607 0.372
O19 0.612 0.888 0.112
O20 0.623 0.355 0.141
O21 0.628 0.110 0.893
O22 0.639 0.139 0.361
O23 0.641 0.877 0.645
O24 0.645 0.641 0.877
O25 0.855 0.359 0.377
O26 0.859 0.123 0.145
O27 0.861 0.861 0.861
O28 0.872 0.890 0.393
O29 0.877 0.645 0.641
O30 0.888 0.112 0.612
O31 0.890 0.393 0.872
O32 0.893 0.628 0.110

The 12 most intense peaks (2θ = 10–90°), in order of rising 2θ:
hkl 1 1 0, 14.8°, rel. 15; hkl 1 1 1, 18.2°, rel. 39; hkl 2 0 0, 21.0°, rel. 25; hkl 2 0 1, 23.5°, rel. 21; hkl 2 1 1, 25.8°, rel. 13; hkl 2 2 0, 29.9°, rel. 25; hkl 3 1 1, 35.2°, rel. 100; hkl 4 0 0, 42.8°, rel. 36; hkl 5 1 1, 56.6°, rel. 40; hkl 4 4 0, 62.2°, rel. 53; hkl 5 3 3, 73.5°, rel. 10; hkl 5 5 3, 89.0°, rel. 15